Entry 1:
Starting from the PBE geometry in Alexandria, the powder XRD pattern of Ca2In5IrRh2 was computed for Cu Kα (weighted mean of Kα1 and Kα2).
Peak positions follow from Bragg's law for the DFT cell and can differ from measured ones.

Top 10 peaks for 2θ = 10–90°, sorted by position:
16.73°, 5.298 Å, I = 25.8; 18.73°, 4.739 Å, I = 23.2; 33.50°, 2.675 Å, I = 21.6; 34.91°, 2.570 Å, I = 20.5; 35.64°, 2.519 Å, I = 100.0; 37.98°, 2.369 Å, I = 12.7; 38.65°, 2.330 Å, I = 31.1; 42.39°, 2.132 Å, I = 9.1; 47.59°, 1.911 Å, I = 17.0; 60.36°, 1.533 Å, I = 9.5

Cell lengths 10.596, 10.596, 3.821 Å; angles 90.00, 90.00, 90.00 degrees
Space group P4/mbm (No. 127)
One atom of each set of equivalent atoms:
Ca1 0.179 0.321 0.000 [4 per cell]
In1 0.000 0.500 0.500 [2 per cell]
In2 0.060 0.807 0.500 [8 per cell]
Ir1 0.000 0.000 0.000 [2 per cell]
Rh1 0.126 0.626 0.000 [4 per cell]

---

Entry 2:
Starting from the PBE geometry in Alexandria, the powder XRD pattern of PmHo3Tm3 was computed for Cu Kα (weighted mean of Kα1 and Kα2).
Peak positions follow from Bragg's law for the DFT cell and can differ from measured ones.

Top 10 peaks for 2θ = 10–90°, sorted by position:
24.21°, 3.676 Å, I = 23.1; 29.25°, 3.053 Å, I = 29.5; 31.40°, 2.849 Å, I = 35.4; 32.26°, 2.775 Å, I = 100.0; 32.51°, 2.754 Å, I = 81.9; 33.07°, 2.709 Å, I = 52.6; 38.32°, 2.349 Å, I = 24.1; 53.61°, 1.710 Å, I = 19.6; 57.00°, 1.616 Å, I = 19.2; 58.11°, 1.587 Å, I = 16.0

Cell lengths 8.5486, 8.5486, 21.6053 Å; angles 90.00, 90.00, 120.00 degrees
Space group R-3 (No. 148, hexagonal axes)
One atom of each set of equivalent atoms:
Pm1 0.0000 0.0000 0.1514 [6 per cell]
Ho1 0.0562 0.4493 0.3797 [18 per cell]
Tm1 0.0057 0.2317 0.5591 [18 per cell]

---

Entry 3:
Starting from the PBE geometry in Alexandria, the powder XRD pattern of Sm4Cu5As7 was computed for Cu Kα (weighted mean of Kα1 and Kα2).
Peak positions follow from Bragg's law for the DFT cell and can differ from measured ones.

Top 10 peaks for 2θ = 10–90°, sorted by position:
24.31°, 3.662 Å, I = 20.2; 28.81°, 3.099 Å, I = 15.2; 35.15°, 2.553 Å, I = 28.6; 35.66°, 2.518 Å, I = 14.7; 36.94°, 2.434 Å, I = 100.0; 46.18°, 1.966 Å, I = 34.7; 50.94°, 1.793 Å, I = 18.1; 59.68°, 1.549 Å, I = 12.7; 71.19°, 1.324 Å, I = 13.1; 79.40°, 1.207 Å, I = 20.4

Cell lengths 5.560, 5.560, 20.142 Å; angles 90.00, 90.00, 90.00 degrees
Space group I-42m (No. 121)
One atom of each set of equivalent atoms:
Sm1 0.244 0.244 0.380 [8 per cell]
Cu1 0.000 0.000 0.000 [2 per cell]
Cu2 0.000 0.000 0.251 [4 per cell]
Cu3 0.000 0.500 0.250 [4 per cell]
As1 0.000 0.000 0.500 [2 per cell]
As2 0.000 0.500 0.000 [4 per cell]
As3 0.245 0.245 0.172 [8 per cell]

---

Entry 4:
Starting from the PBE geometry in Alexandria, the powder XRD pattern of U4Ge8Ir was computed for Cu Kα (weighted mean of Kα1 and Kα2).
Peak positions follow from Bragg's law for the DFT cell and can differ from measured ones.

Top 10 peaks for 2θ = 10–90°, sorted by position:
22.16°, 4.011 Å, I = 14.1; 24.75°, 3.597 Å, I = 20.7; 31.40°, 2.849 Å, I = 25.1; 35.41°, 2.535 Å, I = 100.0; 35.86°, 2.504 Å, I = 27.8; 41.07°, 2.198 Å, I = 15.6; 43.63°, 2.074 Å, I = 22.9; 44.79°, 2.023 Å, I = 21.2; 58.66°, 1.574 Å, I = 13.9; 64.32°, 1.448 Å, I = 14.7

Cell lengths 4.047, 4.149, 15.706 Å; angles 90.00, 90.00, 90.00 degrees
Space group Pmm2 (No. 25)
One atom of each set of equivalent atoms:
U1 0.000 0.000 0.000 [1 per cell]
U2 0.000 0.500 0.479 [1 per cell]
U3 0.500 0.000 0.786 [1 per cell]
U4 0.500 0.500 0.285 [1 per cell]
Ge1 0.000 0.000 0.322 [1 per cell]
Ge2 0.000 0.000 0.614 [1 per cell]
Ge3 0.000 0.500 0.142 [1 per cell]
Ge4 0.000 0.500 0.859 [1 per cell]
Ge5 0.500 0.000 0.144 [1 per cell]
Ge6 0.500 0.000 0.436 [1 per cell]
Ge7 0.500 0.500 0.613 [1 per cell]
Ge8 0.500 0.500 0.964 [1 per cell]
Ir1 0.000 0.500 0.704 [1 per cell]

---

Entry 5:
Starting from the PBE geometry in Alexandria, the powder XRD pattern of TbPrY2S4 was computed for Cu Kα (weighted mean of Kα1 and Kα2).
Peak positions follow from Bragg's law for the DFT cell and can differ from measured ones.

Top 10 peaks for 2θ = 10–90°, sorted by position:
27.32°, 3.264 Å, I = 31.3; 27.73°, 3.218 Å, I = 30.1; 31.89°, 2.807 Å, I = 100.0; 45.21°, 2.006 Å, I = 12.2; 45.71°, 1.985 Å, I = 47.3; 46.25°, 1.963 Å, I = 11.5; 53.86°, 1.702 Å, I = 10.3; 57.26°, 1.609 Å, I = 11.9; 66.65°, 1.403 Å, I = 11.1; 75.75°, 1.256 Å, I = 15.3

Cell lengths 6.896, 3.926, 6.908 Å; angles 90.00, 108.93, 90.00 degrees
Space group P2/m (No. 10)
One atom of each set of equivalent atoms:
Tb1 0.000 0.000 0.000 [1 per cell]
Pr1 0.500 0.500 0.000 [1 per cell]
Y1 0.000 0.500 0.500 [1 per cell]
Y2 0.500 0.000 0.500 [1 per cell]
S1 0.239 0.000 0.738 [2 per cell]
S2 0.245 0.500 0.256 [2 per cell]

---

Entry 6:
Starting from the PBE geometry in Alexandria, the powder XRD pattern of SrLiPmS3 was computed for Cu Kα (weighted mean of Kα1 and Kα2).
Peak positions follow from Bragg's law for the DFT cell and can differ from measured ones.

Top 10 peaks for 2θ = 10–90°, sorted by position:
10.41°, 8.498 Å, I = 61.9; 13.29°, 6.661 Å, I = 38.2; 20.91°, 4.249 Å, I = 45.2; 21.40°, 4.153 Å, I = 34.9; 24.30°, 3.663 Å, I = 69.7; 30.79°, 2.904 Å, I = 88.6; 31.09°, 2.877 Å, I = 100.0; 31.59°, 2.833 Å, I = 53.1; 40.03°, 2.252 Å, I = 50.7; 41.22°, 2.190 Å, I = 38.3

Cell lengths 8.490, 4.060, 8.681 Å; angles 90.00, 101.80, 90.00 degrees
Space group P2_1/m (No. 11)
One atom of each set of equivalent atoms:
Sr1 0.179 0.250 0.228 [2 per cell]
Li1 0.085 0.250 0.586 [2 per cell]
Pm1 0.335 0.750 0.827 [2 per cell]
S1 0.113 0.250 0.865 [2 per cell]
S2 0.202 0.750 0.505 [2 per cell]
S3 0.430 0.750 0.165 [2 per cell]

---

Entry 7:
Starting from the PBE geometry in Alexandria, the powder XRD pattern of Ga2Hg was computed for Cu Kα (weighted mean of Kα1 and Kα2).
Peak positions follow from Bragg's law for the DFT cell and can differ from measured ones.

Top 10 peaks for 2θ = 10–90°, sorted by position:
19.01°, 4.668 Å, I = 16.1; 31.29°, 2.859 Å, I = 66.7; 36.87°, 2.438 Å, I = 100.0; 38.57°, 2.334 Å, I = 13.7; 55.69°, 1.651 Å, I = 26.9; 59.39°, 1.556 Å, I = 33.4; 65.28°, 1.429 Å, I = 24.4; 74.17°, 1.278 Å, I = 11.8; 77.39°, 1.233 Å, I = 11.6; 78.46°, 1.219 Å, I = 4.8

Cell lengths 8.086, 8.086, 8.086 Å; angles 90.00, 90.00, 90.00 degrees
Space group Fd-3m (No. 227, origin choice 2)
One atom of each set of equivalent atoms:
Ga1 0.000 0.000 0.000 [16 per cell]
Hg1 0.125 0.125 0.625 [8 per cell]

---

Entry 8:
Starting from the PBE geometry in Alexandria, the powder XRD pattern of La3NdGa was computed for Cu Kα (weighted mean of Kα1 and Kα2).
Peak positions follow from Bragg's law for the DFT cell and can differ from measured ones.

Top 10 peaks for 2θ = 10–90°, sorted by position:
19.03°, 4.663 Å, I = 28.0; 23.98°, 3.710 Å, I = 27.0; 27.04°, 3.298 Å, I = 42.4; 29.12°, 3.066 Å, I = 100.0; 29.21°, 3.057 Å, I = 25.3; 30.79°, 2.904 Å, I = 62.3; 30.83°, 2.901 Å, I = 31.3; 34.49°, 2.601 Å, I = 51.1; 36.44°, 2.466 Å, I = 55.5; 38.61°, 2.332 Å, I = 19.0

Cell lengths 12.345, 9.323, 8.126 Å; angles 90.00, 130.89, 90.00 degrees
Space group C2/m (No. 12)
One atom of each set of equivalent atoms:
La1 0.064 0.000 0.346 [4 per cell]
La2 0.238 0.317 0.777 [8 per cell]
Nd1 0.063 0.500 0.262 [4 per cell]
Ga1 0.249 0.000 0.872 [4 per cell]